The following is a calculated X-ray diffraction stick pattern of Er3TmCd3. It was derived from a DFT-relaxed cell (GGA-PBE, Alexandria), using Cu Kα, 1.54184 Å.
Peak positions follow from Bragg's law for the DFT cell and can differ from measured ones.

Structural model:
Lattice parameters (Å, degrees): 7.4952 7.4952 6.8346 90.00 90.00 90.19
Atoms (fractional coordinates):
Er 0.2004 0.2004 0.5000
Er 0.2029 0.7971 0.0000
Er 0.2627 0.2627 0.0000
Er 0.7373 0.7373 0.0000
Er 0.7971 0.2029 0.0000
Er 0.7996 0.7996 0.5000
Tm 0.2632 0.7368 0.5000
Tm 0.7368 0.2632 0.5000
Cd 0.0000 0.5000 0.2506
Cd 0.0000 0.5000 0.7494
Cd 0.5000 0.0000 0.2506
Cd 0.5000 0.0000 0.7494
Cd 0.5000 0.5000 0.2512
Cd 0.5000 0.5000 0.7488

The 10 most intense peaks (5 to 70 degrees two-theta), sorted by position:
d = 3.748 Å, I = 10
d = 3.009 Å, I = 20
d = 2.654 Å, I = 26
d = 2.646 Å, I = 25
d = 2.525 Å, I = 100
d = 1.874 Å, I = 14
d = 1.757 Å, I = 12
d = 1.506 Å, I = 13
d = 1.503 Å, I = 12
d = 1.437 Å, I = 11

---

The following is a calculated X-ray diffraction stick pattern of Er2TmCd4. It was derived from a DFT-relaxed cell (GGA-PBE, Alexandria), using Cu Kα, 1.54184 Å.
Peak positions follow from Bragg's law for the DFT cell and can differ from measured ones.

Structural model:
Lattice parameters (Å, degrees): 5.2712 5.2712 13.7204 90.00 90.00 90.00
Atoms (fractional coordinates):
Er 0.0000 0.0000 0.2433
Er 0.0000 0.0000 0.7567
Er 0.5000 0.5000 0.2567
Er 0.5000 0.5000 0.7433
Tm 0.0000 0.0000 0.5000
Tm 0.5000 0.5000 0.0000
Cd 0.0000 0.5000 0.1149
Cd 0.0000 0.5000 0.3851
Cd 0.0000 0.5000 0.6149
Cd 0.0000 0.5000 0.8851
Cd 0.5000 0.0000 0.1149
Cd 0.5000 0.0000 0.3851
Cd 0.5000 0.0000 0.6149
Cd 0.5000 0.0000 0.8851

The 10 most intense peaks (5 to 70 degrees two-theta), sorted by position:
d = 4.921 Å, I = 14
d = 3.454 Å, I = 11
d = 3.275 Å, I = 11
d = 2.636 Å, I = 59
d = 2.524 Å, I = 100
d = 2.095 Å, I = 6
d = 1.864 Å, I = 21
d = 1.715 Å, I = 7
d = 1.499 Å, I = 39
d = 1.437 Å, I = 15

---

> Which formula does entry 2 have?

Er2TmCd4